# 1
This entry pairs a crystal structure of VO2F with its simulated powder diffractogram. Radiation: CuKα. Structure: a GGA+U-relaxed structure.

Structure:
abc: 5.043 5.235 12.530
angles: 88.84 88.16 63.13
Fractional coordinates of all 24 atoms:
V 0.000 0.000 0.000
V 0.000 0.000 0.500
V 0.274 0.393 0.340
V 0.373 0.319 0.840
V 0.627 0.681 0.160
V 0.726 0.607 0.660
O 0.051 0.466 0.719
O 0.133 0.137 0.891
O 0.203 0.183 0.444
O 0.250 0.671 0.419
O 0.396 0.809 0.052
O 0.485 0.470 0.221
O 0.515 0.530 0.779
O 0.604 0.191 0.948
O 0.750 0.329 0.581
O 0.797 0.817 0.556
O 0.867 0.863 0.109
O 0.949 0.534 0.281
F 0.068 0.661 0.918
F 0.264 0.865 0.616
F 0.409 0.992 0.248
F 0.591 0.008 0.752
F 0.736 0.135 0.384
F 0.932 0.339 0.082

Most intense lines, 5° ≤ 2θ ≤ 70°, by angle:
23.70°, 3.755 Å, intensity 98
24.07°, 3.698 Å, intensity 100
25.20°, 3.534 Å, intensity 96
34.37°, 2.609 Å, intensity 15
34.60°, 2.593 Å, intensity 15
48.49°, 1.877 Å, intensity 20
49.29°, 1.849 Å, intensity 18
51.73°, 1.767 Å, intensity 17


# 2
This entry pairs a crystal structure of Li9Mn2Co5O16 with its simulated powder diffractogram. Radiation: CuKα. Structure: a GGA+U-relaxed structure.

Structure:
abc: 5.104 5.104 20.639
angles: 98.42 98.42 32.86
Fractional coordinates of all 32 atoms:
Li 0.000 0.000 0.000
Li 0.006 0.006 0.764
Li 0.008 0.008 0.506
Li 0.010 0.010 0.261
Li 0.486 0.486 0.873
Li 0.500 0.500 0.134
Li 0.502 0.502 0.387
Li 0.507 0.507 0.636
Li 0.755 0.755 0.818
Mn 0.263 0.263 0.700
Mn 0.754 0.754 0.069
Co 0.239 0.239 0.932
Co 0.251 0.251 0.197
Co 0.255 0.255 0.446
Co 0.756 0.756 0.571
Co 0.757 0.757 0.322
O 0.125 0.125 0.856
O 0.142 0.142 0.099
O 0.144 0.144 0.352
O 0.151 0.151 0.603
O 0.366 0.366 0.289
O 0.366 0.366 0.542
O 0.367 0.367 0.046
O 0.371 0.371 0.780
O 0.634 0.634 0.223
O 0.637 0.637 0.476
O 0.646 0.646 0.720
O 0.647 0.647 0.985
O 0.862 0.862 0.161
O 0.866 0.866 0.917
O 0.872 0.872 0.666
O 0.874 0.874 0.418

Most intense lines, 5° ≤ 2θ ≤ 70°, by angle:
18.34°, 4.838 Å, intensity 100
35.20°, 2.550 Å, intensity 15
36.26°, 2.478 Å, intensity 25
42.53°, 2.126 Å, intensity 28
43.98°, 2.059 Å, intensity 54
57.92°, 1.592 Å, intensity 10
62.77°, 1.480 Å, intensity 15
62.91°, 1.477 Å, intensity 14


# 3
This entry pairs a crystal structure of Mn3O4 with its simulated powder diffractogram. Radiation: CuKα. Structure: a GGA+U-relaxed structure.

Structure:
abc: 5.870 5.873 6.338
angles: 117.54 117.47 90.00
Fractional coordinates of all 14 atoms:
Mn 0.000 0.000 0.000
Mn 0.000 0.000 0.500
Mn 0.000 0.500 0.000
Mn 0.375 0.624 0.749
Mn 0.500 0.000 0.500
Mn 0.625 0.376 0.251
O 0.213 0.242 0.984
O 0.231 0.759 0.017
O 0.243 0.214 0.484
O 0.243 0.769 0.484
O 0.757 0.231 0.516
O 0.757 0.786 0.516
O 0.769 0.241 0.983
O 0.787 0.758 0.016

Most intense lines, 5° ≤ 2θ ≤ 70°, by angle:
17.71°, 5.009 Å, intensity 22
28.43°, 3.140 Å, intensity 36
31.85°, 2.809 Å, intensity 75
35.44°, 2.533 Å, intensity 100
49.99°, 1.825 Å, intensity 24
57.39°, 1.606 Å, intensity 33
58.77°, 1.571 Å, intensity 30
58.87°, 1.569 Å, intensity 29


# 4
This entry pairs a crystal structure of Li2FePCO7 with its simulated powder diffractogram. Radiation: CuKα. Structure: a GGA+U-relaxed structure.

Structure:
abc: 5.073 8.456 12.834
angles: 94.49 93.64 95.53
Fractional coordinates of all 48 atoms:
Li 0.127 0.219 0.008
Li 0.208 0.249 0.276
Li 0.244 0.258 0.782
Li 0.283 0.919 0.598
Li 0.717 0.081 0.402
Li 0.756 0.742 0.218
Li 0.792 0.751 0.724
Li 0.873 0.781 0.992
Fe 0.301 0.656 0.377
Fe 0.323 0.661 0.877
Fe 0.677 0.339 0.123
Fe 0.699 0.344 0.623
P 0.216 0.575 0.122
P 0.239 0.584 0.622
P 0.761 0.416 0.378
P 0.784 0.425 0.878
C 0.170 0.936 0.358
C 0.249 0.950 0.878
C 0.751 0.050 0.122
C 0.830 0.064 0.642
O 0.010 0.805 0.340
O 0.049 0.831 0.860
O 0.059 0.452 0.355
O 0.082 0.456 0.852
O 0.085 0.073 0.357
O 0.205 0.095 0.882
O 0.226 0.682 0.030
O 0.259 0.698 0.533
O 0.324 0.412 0.089
O 0.360 0.428 0.594
O 0.383 0.654 0.220
O 0.393 0.677 0.721
O 0.418 0.915 0.383
O 0.481 0.899 0.892
O 0.519 0.101 0.108
O 0.582 0.085 0.617
O 0.607 0.323 0.279
O 0.617 0.346 0.780
O 0.640 0.572 0.406
O 0.676 0.588 0.911
O 0.741 0.302 0.467
O 0.774 0.318 0.970
O 0.795 0.905 0.118
O 0.915 0.927 0.643
O 0.918 0.544 0.148
O 0.941 0.548 0.645
O 0.951 0.169 0.140
O 0.990 0.195 0.660

Most intense lines, 5° ≤ 2θ ≤ 70°, by angle:
10.55°, 8.386 Å, intensity 100
16.73°, 5.299 Å, intensity 18
18.17°, 4.882 Å, intensity 18
19.61°, 4.526 Å, intensity 30
21.48°, 4.136 Å, intensity 47
26.23°, 3.397 Å, intensity 29
27.97°, 3.190 Å, intensity 64
33.70°, 2.660 Å, intensity 17


# 5
This entry pairs a crystal structure of Mn6O5F7 with its simulated powder diffractogram. Radiation: CuKα. Structure: a GGA+U-relaxed structure.

Structure:
abc: 5.152 5.764 14.606
angles: 90.09 94.60 90.09
Fractional coordinates of all 36 atoms:
Mn 0.000 0.000 0.000
Mn 0.004 0.350 0.504
Mn 0.039 0.905 0.662
Mn 0.050 0.566 0.164
Mn 0.088 0.352 0.824
Mn 0.095 0.055 0.336
Mn 0.493 0.355 0.003
Mn 0.504 0.043 0.504
Mn 0.523 0.920 0.162
Mn 0.542 0.609 0.662
Mn 0.566 0.373 0.334
Mn 0.576 0.047 0.819
O 0.194 0.106 0.573
O 0.209 0.830 0.095
O 0.288 0.123 0.901
O 0.310 0.276 0.419
O 0.372 0.846 0.729
O 0.379 0.134 0.260
O 0.673 0.100 0.068
O 0.705 0.846 0.593
O 0.812 0.121 0.426
O 0.891 0.103 0.756
F 0.172 0.314 0.075
F 0.175 0.595 0.583
F 0.278 0.567 0.916
F 0.304 0.811 0.415
F 0.409 0.635 0.244
F 0.418 0.362 0.745
F 0.681 0.359 0.586
F 0.695 0.598 0.084
F 0.766 0.826 0.906
F 0.779 0.298 0.910
F 0.795 0.567 0.422
F 0.875 0.871 0.241
F 0.877 0.359 0.258
F 0.911 0.597 0.745

Most intense lines, 5° ≤ 2θ ≤ 70°, by angle:
19.65°, 4.519 Å, intensity 53
28.80°, 3.100 Å, intensity 100
30.57°, 2.925 Å, intensity 73
41.04°, 2.199 Å, intensity 22
41.14°, 2.194 Å, intensity 16
49.58°, 1.839 Å, intensity 20
54.03°, 1.697 Å, intensity 21
63.05°, 1.474 Å, intensity 23


# 6
This entry pairs a crystal structure of Sr2CoSbO6 with its simulated powder diffractogram. Radiation: CuKα. Structure: a GGA+U-relaxed structure.

Structure:
abc: 5.604 5.604 5.762
angles: 120.46 120.46 61.37
Fractional coordinates of all 10 atoms:
Sr 0.249 0.249 0.247
Sr 0.751 0.751 0.753
Co 0.000 0.000 0.500
Sb 0.500 0.500 0.000
O 0.224 0.716 0.213
O 0.242 0.242 0.688
O 0.284 0.776 0.787
O 0.716 0.224 0.213
O 0.758 0.758 0.312
O 0.776 0.284 0.787

Most intense lines, 5° ≤ 2θ ≤ 70°, by angle:
31.04°, 2.881 Å, intensity 49
31.28°, 2.860 Å, intensity 51
31.73°, 2.820 Å, intensity 100
31.97°, 2.800 Å, intensity 96
44.65°, 2.030 Å, intensity 70
46.66°, 1.946 Å, intensity 29
55.51°, 1.655 Å, intensity 22
55.96°, 1.643 Å, intensity 40


# 7
This entry pairs a crystal structure of LiCoS2O8 with its simulated powder diffractogram. Radiation: CuKα. Structure: a GGA+U-relaxed structure.

Structure:
abc: 8.323 8.349 8.931
angles: 62.37 62.63 60.29
Fractional coordinates of all 36 atoms:
Li 0.000 0.000 0.000
Li 0.172 0.926 0.305
Li 0.600 0.175 0.305
Co 0.186 0.218 0.405
Co 0.504 0.513 0.487
Co 0.712 0.711 0.868
S 0.106 0.813 0.690
S 0.316 0.607 0.187
S 0.399 0.111 0.687
S 0.598 0.895 0.191
S 0.810 0.400 0.694
S 0.898 0.320 0.190
O 0.006 0.385 0.553
O 0.021 0.351 0.248
O 0.063 0.851 0.848
O 0.087 0.995 0.531
O 0.124 0.730 0.171
O 0.248 0.069 0.847
O 0.309 0.674 0.644
O 0.333 0.647 0.328
O 0.352 0.395 0.242
O 0.383 0.315 0.633
O 0.385 0.089 0.531
O 0.387 0.019 0.238
O 0.471 0.648 0.020
O 0.598 0.978 0.698
O 0.633 0.702 0.334
O 0.654 0.865 0.020
O 0.687 0.380 0.630
O 0.700 0.339 0.325
O 0.714 0.988 0.180
O 0.725 0.600 0.708
O 0.832 0.253 0.860
O 0.880 0.465 0.018
O 0.971 0.733 0.707
O 0.984 0.122 0.180

Most intense lines, 5° ≤ 2θ ≤ 70°, by angle:
11.72°, 7.551 Å, intensity 15
12.85°, 6.887 Å, intensity 15
14.54°, 6.093 Å, intensity 80
19.88°, 4.466 Å, intensity 33
24.32°, 3.660 Å, intensity 100
24.49°, 3.635 Å, intensity 34
29.27°, 3.051 Å, intensity 27
31.96°, 2.801 Å, intensity 47